# LiAc2CdSn6
Computed XRD peak list, Cu Kα (weighted mean of Kα1 and Kα2). Input: DFT lattice parameters and positions (GGA-PBE).
No peak broadening, texture or thermal motion is included.

Top 6 peaks for 2θ = 5–70°, by angle:
hkl, Position (°2θ), I (rel.)
1 2 1, 24.23, 45
2 2 0, 28.77, 100
0 2 2, 30.12, 98
2 0 2, 33.31, 52
0 4 0, 35.73, 54
2 4 2, 49.65, 41

Structure:
```
data_LiAc2CdSn6
_chemical_formula_sum 'Li2 Ac4 Cd2 Sn12'
_cell_length_a 7.891
_cell_length_b 10.052
_cell_length_c 7.352
_cell_angle_alpha 90.00
_cell_angle_beta 90.00
_cell_angle_gamma 90.00
_space_group_name_H-M_alt 'P m m n'
_space_group_IT_number 59
loop_
_space_group_symop_operation_xyz
'x,y,z'
'-x,-y,-z'
'-x+1/2,-y+1/2,z'
'x+1/2,y+1/2,-z'
'x+1/2,-y,-z'
'-x+1/2,y,z'
'-x,y+1/2,-z'
'x,-y+1/2,z'
loop_
_atom_site_label
_atom_site_fract_x
_atom_site_fract_y
_atom_site_fract_z
Li1 0.250 0.250 0.074
Ac1 0.250 0.014 0.723
Cd1 0.250 0.750 0.407
Sn1 0.056 0.250 0.398
Sn2 0.059 0.750 0.029
Sn3 0.250 0.501 0.208
```


# Li2AcTl2Cd
Computed XRD peak list, Cu Kα (weighted mean of Kα1 and Kα2). Input: DFT lattice parameters and positions (GGA-PBE).
No peak broadening, texture or thermal motion is included.

Top 6 peaks for 2θ = 5–70°, by angle:
hkl, Position (°2θ), I (rel.)
0 0 3, 7.58, 54
0 1 2, 25.82, 100
0 1 5, 28.38, 84
1 0 10, 36.20, 86
1 1 0, 44.58, 55
1 1 12, 55.08, 45

Structure:
```
data_Li2AcTl2Cd
_chemical_formula_sum 'Li6 Ac3 Tl6 Cd3'
_cell_length_a 4.0649
_cell_length_b 4.0649
_cell_length_c 34.9852
_cell_angle_alpha 90.00
_cell_angle_beta 90.00
_cell_angle_gamma 120.00
_space_group_name_H-M_alt 'R -3 m'
_space_group_IT_number 166
_space_group_name_Hall '-R 3 2"'
loop_
_atom_site_label
_atom_site_fract_x
_atom_site_fract_y
_atom_site_fract_z
Li1 0.0000 0.0000 0.2120
Ac1 0.0000 0.0000 0.0000
Tl1 0.0000 0.0000 0.4077
Cd1 0.0000 0.0000 0.5000
```


# Li2AcYCd4
Computed XRD peak list, Cu Kα (weighted mean of Kα1 and Kα2). Input: DFT lattice parameters and positions (GGA-PBE).
No peak broadening, texture or thermal motion is included.

Top 6 peaks for 2θ = 5–70°, by angle:
hkl, Position (°2θ), I (rel.)
0 1 2, 21.41, 78
0 1 8, 32.73, 99
1 1 0, 35.81, 100
1 0 10, 38.06, 42
2 0 8, 49.29, 31
1 2 8, 62.41, 30

Structure:
```
data_Li2AcYCd4
_chemical_formula_sum 'Li6 Ac3 Y3 Cd12'
_cell_length_a 5.0156
_cell_length_b 5.0156
_cell_length_c 28.1813
_cell_angle_alpha 90.00
_cell_angle_beta 90.00
_cell_angle_gamma 120.00
_space_group_name_H-M_alt 'R -3 m'
_space_group_IT_number 166
_space_group_name_Hall '-R 3 2"'
loop_
_atom_site_label
_atom_site_fract_x
_atom_site_fract_y
_atom_site_fract_z
Li1 0.0000 0.0000 0.2380
Ac1 0.0000 0.0000 0.0000
Y1 0.0000 0.0000 0.5000
Cd1 0.0000 0.0000 0.1223
Cd2 0.0000 0.0000 0.3931
```


# LiAcZn3Cd
Computed XRD peak list, Cu Kα (weighted mean of Kα1 and Kα2). Input: DFT lattice parameters and positions (GGA-PBE).
No peak broadening, texture or thermal motion is included.

Top 6 peaks for 2θ = 5–70°, by angle:
hkl, Position (°2θ), I (rel.)
1 3 0, 25.12, 38
1 3 1, 28.79, 67
0 2 2, 31.18, 69
2 2 0, 31.83, 61
1 3 2, 37.87, 42
2 0 2, 40.34, 100

Structure:
```
data_LiAcZn3Cd
_chemical_formula_sum 'Li4 Ac4 Zn12 Cd4'
_cell_length_a 6.246
_cell_length_b 12.917
_cell_length_c 6.403
_cell_angle_alpha 90.00
_cell_angle_beta 90.00
_cell_angle_gamma 90.00
_space_group_name_H-M_alt 'C m c m'
_space_group_IT_number 63
_space_group_name_Hall '-C 2c 2'
loop_
_atom_site_label
_atom_site_fract_x
_atom_site_fract_y
_atom_site_fract_z
Li1 0.000 0.066 0.250
Ac1 0.000 0.297 0.250
Zn1 0.000 0.127 0.750
Zn2 0.219 0.500 0.000
Cd1 0.000 0.353 0.750
```


# Ac6Mg3Cd
Computed XRD peak list, Cu Kα (weighted mean of Kα1 and Kα2). Input: DFT lattice parameters and positions (GGA-PBE).
No peak broadening, texture or thermal motion is included.

Top 6 peaks for 2θ = 5–70°, by angle:
hkl, Position (°2θ), I (rel.)
1 1 -2, 20.81, 32
2 0 1, 22.08, 14
2 0 -4, 28.87, 19
0 2 0, 30.28, 31
1 1 3, 30.52, 100
1 3 3, 53.94, 21

Structure:
```
data_Ac6Mg3Cd
_chemical_formula_sum 'Ac12 Mg6 Cd2'
_cell_length_a 10.150
_cell_length_b 5.904
_cell_length_c 13.013
_cell_angle_alpha 90.00
_cell_angle_beta 109.49
_cell_angle_gamma 90.00
_space_group_name_H-M_alt 'P 1 21/m 1'
_space_group_IT_number 11
loop_
_space_group_symop_operation_xyz
'x,y,z'
'-x,-y,-z'
'-x,y+1/2,-z'
'x,-y+1/2,z'
loop_
_atom_site_label
_atom_site_fract_x
_atom_site_fract_y
_atom_site_fract_z
Ac1 0.037 0.250 0.416
Ac2 0.163 0.750 0.173
Ac3 0.244 0.250 0.998
Ac4 0.342 0.750 0.805
Ac5 0.360 0.250 0.341
Ac6 0.410 0.250 0.634
Mg1 0.033 0.750 0.874
Mg2 0.107 0.250 0.715
Mg3 0.268 0.750 0.475
Cd1 0.457 0.750 0.086
```


# Ac2Mg5Cd5
Computed XRD peak list, Cu Kα (weighted mean of Kα1 and Kα2). Input: DFT lattice parameters and positions (GGA-PBE).
No peak broadening, texture or thermal motion is included.

Top 6 peaks for 2θ = 5–70°, by angle:
hkl, Position (°2θ), I (rel.)
1 0 0, 18.30, 35
1 1 1, 24.90, 22
0 2 0, 29.17, 24
0 1 3, 29.28, 31
1 1 3, 34.72, 100
1 3 3, 55.39, 19

Structure:
```
data_Ac2Mg5Cd5
_chemical_formula_sum 'Ac2 Mg5 Cd5'
_cell_length_a 4.849
_cell_length_b 6.122
_cell_length_c 10.552
_cell_angle_alpha 90.00
_cell_angle_beta 90.00
_cell_angle_gamma 90.00
_space_group_name_H-M_alt 'P m m m'
_space_group_IT_number 47
loop_
_space_group_symop_operation_xyz
'x,y,z'
'-x,-y,-z'
'-x,-y,z'
'x,y,-z'
'x,-y,-z'
'-x,y,z'
'-x,y,-z'
'x,-y,z'
loop_
_atom_site_label
_atom_site_fract_x
_atom_site_fract_y
_atom_site_fract_z
Ac1 0.000 0.000 0.000
Ac2 0.000 0.500 0.500
Mg1 0.500 0.000 0.500
Mg2 0.500 0.250 0.247
Cd1 0.000 0.000 0.332
Cd2 0.000 0.500 0.170
Cd3 0.500 0.500 0.000
```


Copy entry 5 word for word.
# Ac6Mg3Cd
Computed XRD peak list, Cu Kα (weighted mean of Kα1 and Kα2). Input: DFT lattice parameters and positions (GGA-PBE).
No peak broadening, texture or thermal motion is included.

Top 6 peaks for 2θ = 5–70°, by angle:
hkl, Position (°2θ), I (rel.)
1 1 -2, 20.81, 32
2 0 1, 22.08, 14
2 0 -4, 28.87, 19
0 2 0, 30.28, 31
1 1 3, 30.52, 100
1 3 3, 53.94, 21

Structure:
```
data_Ac6Mg3Cd
_chemical_formula_sum 'Ac12 Mg6 Cd2'
_cell_length_a 10.150
_cell_length_b 5.904
_cell_length_c 13.013
_cell_angle_alpha 90.00
_cell_angle_beta 109.49
_cell_angle_gamma 90.00
_space_group_name_H-M_alt 'P 1 21/m 1'
_space_group_IT_number 11
loop_
_space_group_symop_operation_xyz
'x,y,z'
'-x,-y,-z'
'-x,y+1/2,-z'
'x,-y+1/2,z'
loop_
_atom_site_label
_atom_site_fract_x
_atom_site_fract_y
_atom_site_fract_z
Ac1 0.037 0.250 0.416
Ac2 0.163 0.750 0.173
Ac3 0.244 0.250 0.998
Ac4 0.342 0.750 0.805
Ac5 0.360 0.250 0.341
Ac6 0.410 0.250 0.634
Mg1 0.033 0.750 0.874
Mg2 0.107 0.250 0.715
Mg3 0.268 0.750 0.475
Cd1 0.457 0.750 0.086
```


Repeat the third record exactly.
# Li2AcYCd4
Computed XRD peak list, Cu Kα (weighted mean of Kα1 and Kα2). Input: DFT lattice parameters and positions (GGA-PBE).
No peak broadening, texture or thermal motion is included.

Top 6 peaks for 2θ = 5–70°, by angle:
hkl, Position (°2θ), I (rel.)
0 1 2, 21.41, 78
0 1 8, 32.73, 99
1 1 0, 35.81, 100
1 0 10, 38.06, 42
2 0 8, 49.29, 31
1 2 8, 62.41, 30

Structure:
```
data_Li2AcYCd4
_chemical_formula_sum 'Li6 Ac3 Y3 Cd12'
_cell_length_a 5.0156
_cell_length_b 5.0156
_cell_length_c 28.1813
_cell_angle_alpha 90.00
_cell_angle_beta 90.00
_cell_angle_gamma 120.00
_space_group_name_H-M_alt 'R -3 m'
_space_group_IT_number 166
_space_group_name_Hall '-R 3 2"'
loop_
_atom_site_label
_atom_site_fract_x
_atom_site_fract_y
_atom_site_fract_z
Li1 0.0000 0.0000 0.2380
Ac1 0.0000 0.0000 0.0000
Y1 0.0000 0.0000 0.5000
Cd1 0.0000 0.0000 0.1223
Cd2 0.0000 0.0000 0.3931
```